Entry 1:
Structure and theoretical powder XRD pattern of SbMoAu3 (a cell relaxed with GGA-PBE; Cu Kα (weighted mean of Kα1 and Kα2)).

Structure:
```
data_SbMoAu3
_chemical_formula_sum 'Sb1 Mo1 Au3'
_space_group_name_H-M_alt 'P m -3 m'
_space_group_IT_number 221
_space_group_name_Hall '-P 4 2 3'
_cell_length_a 5.177
_cell_length_b 5.177
_cell_length_c 5.177
_cell_angle_alpha 90.00
_cell_angle_beta 90.00
_cell_angle_gamma 90.00
loop_
_atom_site_label
_atom_site_fract_x
_atom_site_fract_y
_atom_site_fract_z
Sb1 0.000 0.000 0.000
Mo1 0.500 0.500 0.500
Au1 0.000 0.000 0.500
```

Principal peaks in the range 2θ from 10° to 80°, in order of rising 2θ:
| two_theta | I_rel | hkl |
| --- | --- | --- |
| 17.1 | 40.0 | 1 0 0 |
| 29.9 | 96.4 | 1 1 1 |
| 34.7 | 100.0 | 2 0 0 |
| 38.9 | 21.7 | 2 1 0 |
| 49.8 | 71.9 | 2 2 0 |
| 53.1 | 11.2 | 3 0 0 |
| 59.2 | 43.0 | 3 1 1 |
| 62.1 | 24.8 | 2 2 2 |
| 73.1 | 11.6 | 4 0 0 |
| 75.8 | 6.4 | 4 1 0 |


Entry 2:
Structure and theoretical powder XRD pattern of Er4Tm10Sc (a cell relaxed with GGA-PBE; Cu Kα (weighted mean of Kα1 and Kα2)).

Structure:
```
data_Er4Tm10Sc
_chemical_formula_sum 'Er8 Tm20 Sc2'
_space_group_name_H-M_alt 'I 4/m m m'
_space_group_IT_number 139
_space_group_name_Hall '-I 4 2'
_cell_length_a 11.170
_cell_length_b 11.170
_cell_length_c 7.452
_cell_angle_alpha 90.00
_cell_angle_beta 90.00
_cell_angle_gamma 90.00
loop_
_atom_site_label
_atom_site_fract_x
_atom_site_fract_y
_atom_site_fract_z
Er1 0.235 0.235 0.000
Tm1 0.000 0.209 0.282
Tm2 0.000 0.500 0.250
Sc1 0.000 0.000 0.000
```

Principal peaks in the range 2θ from 10° to 80°, in order of rising 2θ:
| two_theta | I_rel | hkl |
| --- | --- | --- |
| 25.2 | 33.8 | 3 1 0 |
| 28.8 | 68.4 | 2 0 2 |
| 32.1 | 100.0 | 4 0 0 |
| 33.1 | 92.1 | 2 2 2 |
| 34.1 | 29.7 | 3 3 0 |
| 35.0 | 32.1 | 3 1 2 |
| 42.0 | 40.4 | 3 3 2 |
| 46.0 | 24.4 | 4 4 0 |
| 59.7 | 24.6 | 4 0 4 |
| 68.8 | 26.0 | 7 3 2 |


Entry 3:
Structure and theoretical powder XRD pattern of La14HoSn (a cell relaxed with GGA-PBE; Cu Kα (weighted mean of Kα1 and Kα2)).

Structure:
```
data_La14HoSn
_chemical_formula_sum 'La28 Ho2 Sn2'
_space_group_name_H-M_alt 'A m m 2'
_space_group_IT_number 38
_cell_length_a 10.414
_cell_length_b 10.350
_cell_length_c 10.353
_cell_angle_alpha 90.00
_cell_angle_beta 90.00
_cell_angle_gamma 90.00
loop_
_space_group_symop_operation_xyz
'x,y,z'
'-x,-y,z'
'-x,y,z'
'x,-y,z'
'x,y+1/2,z+1/2'
'-x,-y+1/2,z+1/2'
'-x,y+1/2,z+1/2'
'x,-y+1/2,z+1/2'
loop_
_atom_site_label
_atom_site_fract_x
_atom_site_fract_y
_atom_site_fract_z
La1 0.000 0.000 0.000
La2 0.000 0.000 0.498
La3 0.000 0.250 0.250
La4 0.257 0.000 0.757
La5 0.257 0.243 0.000
La6 0.258 0.000 0.242
La7 0.500 0.250 0.250
Ho1 0.500 0.000 0.500
Sn1 0.500 0.000 0.999
```

Principal peaks in the range 2θ from 10° to 80°, in order of rising 2θ:
| two_theta | I_rel | hkl |
| --- | --- | --- |
| 29.8 | 100.0 | 2 2 2 |
| 34.4 | 16.9 | 4 0 0 |
| 34.7 | 33.6 | 0 4 0 |
| 49.7 | 23.9 | 4 4 0 |
| 49.8 | 11.9 | 0 4 4 |
| 58.9 | 14.1 | 6 2 2 |
| 59.2 | 28.2 | 2 6 2 |
| 62.0 | 12.1 | 4 4 4 |
| 72.6 | 1.8 | 8 0 0 |
| 73.1 | 3.7 | 0 8 0 |


Entry 4:
Structure and theoretical powder XRD pattern of La3Zn3Ni (a cell relaxed with GGA-PBE; Cu Kα (weighted mean of Kα1 and Kα2)).

Structure:
```
data_La3Zn3Ni
_chemical_formula_sum 'La6 Zn6 Ni2'
_space_group_name_H-M_alt 'I m m 2'
_space_group_IT_number 44
_cell_length_a 3.829
_cell_length_b 4.594
_cell_length_c 19.562
_cell_angle_alpha 90.00
_cell_angle_beta 90.00
_cell_angle_gamma 90.00
loop_
_space_group_symop_operation_xyz
'x,y,z'
'-x,-y,z'
'-x,y,z'
'x,-y,z'
'x+1/2,y+1/2,z+1/2'
'-x+1/2,-y+1/2,z+1/2'
'-x+1/2,y+1/2,z+1/2'
'x+1/2,-y+1/2,z+1/2'
loop_
_atom_site_label
_atom_site_fract_x
_atom_site_fract_y
_atom_site_fract_z
La1 0.000 0.000 0.000
La2 0.000 0.000 0.367
La3 0.000 0.500 0.196
Zn1 0.000 0.000 0.554
Zn2 0.000 0.000 0.823
Zn3 0.000 0.500 0.629
Ni1 0.000 0.500 0.759
```

Principal peaks in the range 2θ from 10° to 80°, in order of rising 2θ:
| two_theta | I_rel | hkl |
| --- | --- | --- |
| 23.7 | 30.3 | 0 1 3 |
| 27.4 | 17.3 | 0 0 6 |
| 31.8 | 100.0 | 1 1 2 |
| 32.7 | 61.6 | 1 0 5 |
| 35.6 | 33.8 | 1 1 4 |
| 37.7 | 35.2 | 0 1 7 |
| 39.2 | 36.1 | 0 2 0 |
| 46.2 | 17.2 | 0 1 9 |
| 47.5 | 20.7 | 2 0 0 |
| 52.0 | 32.8 | 1 2 5 |